Diffraction record for SrCaMn2O6. The powder X-ray diffraction pattern is simulated, not measured: it uses a GGA+U-relaxed structure and Cu Kα, 1.54184 Å.

a b c (Å): 5.4557 5.4557 5.4557
angles (deg): 120.81 120.81 88.60
Fractional positions:
Sr  0.0000  0.0000  0.0000
Ca  0.5000  0.5000  0.0000
Mn  0.2500  0.7500  0.5000
Mn  0.7500  0.2500  0.5000
O  0.0000  0.5000  0.5000
O  0.0584  0.0584  0.5953
O  0.4632  0.4632  0.4047
O  0.5000  0.0000  0.5000
O  0.5368  0.9416  0.0000
O  0.9416  0.5368  0.0000

Most intense lines, 2θ = 5–70°, low angle first:
d/Å, 2θ/deg, I (rel.)
2.727, 32.84, 100
2.694, 33.25, 57
1.952, 46.52, 24
1.905, 47.74, 40
1.562, 59.16, 42
1.364, 68.86, 23